Entry 1:
Calculated powder diffractogram
Compound: IrF6
Radiation: Cu Ka
Structure: a GGA-PBE-relaxed structure

Main lines, by intensity (15 to 90 degrees two-theta):
2θ/deg  I (rel.)
23.3  100.0
22.4  88.6
24.6  62.9
21.9  39.5
31.5  34.7
47.7  24.1
39.9  23.9
28.3  19.4

Structure:
```
28
Lattice="8.690 0.000 0.000 0.000 7.926 0.000 0.000 0.000 4.593" Properties=species:S:1:pos:R:3 pbc="T T T"
Ir 1.100 1.981 0.423
Ir 3.244 5.944 2.720
Ir 5.445 1.981 1.873
Ir 7.589 5.944 4.170
F 0.014 5.944 1.072
F 0.041 0.665 1.212
F 0.041 3.298 1.212
F 2.138 5.944 4.222
F 2.159 0.666 4.232
F 2.159 3.297 4.232
F 2.186 4.628 1.936
F 2.186 7.260 1.936
F 2.207 1.981 1.925
F 4.304 4.627 3.508
F 4.304 7.261 3.508
F 4.331 1.981 3.368
F 4.359 5.944 1.225
F 4.386 0.665 1.085
F 4.386 3.298 1.085
F 6.483 5.944 2.668
F 6.503 0.666 2.657
F 6.503 3.297 2.657
F 6.531 4.628 0.361
F 6.531 7.260 0.361
F 6.552 1.981 0.371
F 8.649 4.627 3.381
F 8.649 7.261 3.381
F 8.676 1.981 3.521
```

=====

Entry 2:
Calculated powder diffractogram
Compound: IrF
Radiation: Cu Ka
Structure: a GGA-PBE-relaxed structure

Main lines, by intensity (15 to 90 degrees two-theta):
2θ/deg  I (rel.)
45.7  100.0
21.7  81.5
39.6  61.0
61.0  35.6
44.3  19.8
82.6  18.0
76.2  17.4
88.5  16.6

Structure:
```
2
Lattice="2.625 0.000 0.000 -1.313 2.273 0.000 0.000 0.000 4.087" Properties=species:S:1:pos:R:3 pbc="T T T"
Ir 0.000 0.000 0.000
F 0.000 1.516 2.043
```

=====

Entry 3:
Calculated powder diffractogram
Compound: IrF4
Radiation: Cu Ka
Structure: a GGA-PBE-relaxed structure

Main lines, by intensity (15 to 90 degrees two-theta):
2θ/deg  I (rel.)
26.9  100.0
20.0  43.5
26.6  43.0
25.0  40.9
39.6  24.9
36.6  20.6
55.5  19.8
20.4  19.5

Structure:
```
20
Lattice="4.983 0.000 0.000 0.000 5.111 0.000 0.000 0.000 8.882" Properties=species:S:1:pos:R:3 pbc="T T T"
Ir 0.832 0.634 1.065
Ir 1.660 4.477 5.506
Ir 3.323 1.921 7.817
Ir 4.151 3.189 3.376
F 0.136 4.350 6.597
F 0.273 4.093 2.002
F 0.772 0.433 4.250
F 0.878 2.985 4.437
F 1.614 2.126 8.878
F 1.720 4.678 8.691
F 2.219 1.018 6.443
F 2.356 0.760 2.156
F 2.627 3.316 2.285
F 2.764 3.573 6.880
F 3.263 2.122 4.632
F 3.369 4.681 4.445
F 4.105 0.429 0.004
F 4.211 2.988 0.191
F 4.710 1.538 2.439
F 4.847 1.795 6.726
```

=====

Entry 4:
Calculated powder diffractogram
Compound: IrF4
Radiation: Cu Ka
Structure: a GGA-PBE-relaxed structure

Main lines, by intensity (15 to 90 degrees two-theta):
2θ/deg  I (rel.)
25.5  100.0
31.9  29.2
24.3  28.9
53.1  27.8
43.6  26.8
45.7  21.1
65.0  16.4
52.5  14.7

Structure:
```
5
Lattice="-1.985 1.985 3.658 1.985 -1.985 3.658 1.985 1.985 -3.658" Properties=species:S:1:pos:R:3 pbc="T T T"
Ir 0.000 0.000 0.000
F 1.985 0.000 0.000
F 0.000 0.000 1.894
F 0.000 1.985 0.000
F 0.000 0.000 5.421
```

=====

Entry 5:
Calculated powder diffractogram
Compound: K2LiIrF6
Radiation: Cu Ka
Structure: a GGA-PBE-relaxed structure

Main lines, by intensity (15 to 90 degrees two-theta):
2θ/deg  I (rel.)
19.3  100.0
31.8  50.3
37.7  40.1
32.0  25.2
22.5  24.3
45.9  23.7
37.3  20.0
56.9  19.9

Structure:
```
10
Lattice="-2.797 2.797 4.013 2.797 -2.797 4.013 2.797 2.797 -4.013" Properties=species:S:1:pos:R:3 pbc="T T T"
K 2.797 0.000 2.006
K 0.000 2.797 2.006
Li 0.000 0.000 0.000
Ir 0.000 0.000 4.013
F 4.123 1.282 0.000
F 0.000 0.000 1.994
F 1.282 1.470 0.000
F 1.514 1.326 4.013
F 0.000 0.000 6.032
F -1.326 1.514 4.013
```

=====

Entry 6:
Calculated powder diffractogram
Compound: LaIrF3
Radiation: Cu Ka
Structure: a GGA-PBE-relaxed structure

Main lines, by intensity (15 to 90 degrees two-theta):
2θ/deg  I (rel.)
29.3  100.0
47.7  83.1
32.5  67.2
28.8  65.0
43.0  42.4
36.7  42.3
44.9  37.4
34.6  35.9

Structure:
```
10
Lattice="2.101 -6.655 0.000 2.101 6.655 0.000 0.000 0.000 4.892" Properties=species:S:1:pos:R:3 pbc="T T T"
La 2.101 4.669 3.669
La 2.101 -4.669 1.223
Ir 2.101 0.410 3.669
Ir 2.101 -0.410 1.223
F 2.101 5.826 1.223
F 2.101 2.670 0.028
F 2.101 2.670 2.417
F 2.101 -2.670 2.474
F 2.101 -2.670 4.863
F 2.101 -5.826 3.669
```

=====

Entry 7:
Calculated powder diffractogram
Compound: LiIrF4
Radiation: Cu Ka
Structure: a GGA-PBE-relaxed structure

Main lines, by intensity (15 to 90 degrees two-theta):
2θ/deg  I (rel.)
19.9  100.0
31.0  75.7
51.7  33.6
41.7  30.9
32.1  30.4
61.9  21.6
49.2  19.6
52.1  16.4

Structure:
```
12
Lattice="-2.481 2.481 5.047 2.481 -2.481 5.047 2.481 2.481 -5.047" Properties=species:S:1:pos:R:3 pbc="T T T"
Li 0.000 1.240 1.262
Li 2.481 1.240 3.785
Ir 2.481 1.240 -1.262
Ir 0.000 1.240 6.309
F 3.714 0.090 0.090
F 1.151 -0.007 2.433
F 3.631 -0.007 2.614
F 1.248 2.391 0.090
F 1.233 0.090 4.957
F -1.151 2.488 2.433
F 1.330 2.488 2.614
F -1.233 2.391 4.957
```

=====

Entry 8:
Calculated powder diffractogram
Compound: Rb2LiIrF6
Radiation: Cu Ka
Structure: a GGA-PBE-relaxed structure

Main lines, by intensity (15 to 90 degrees two-theta):
2θ/deg  I (rel.)
31.2  100.0
19.0  70.0
36.8  40.8
55.5  40.5
44.7  39.6
65.1  24.1
49.0  18.3
73.9  17.9

Structure:
```
10
Lattice="0.000 4.055 4.055 4.055 0.000 4.055 4.055 4.055 0.000" Properties=species:S:1:pos:R:3 pbc="T T T"
Rb 2.028 2.028 2.028
Rb 6.083 6.083 6.083
Li 0.000 0.000 0.000
Ir 4.055 4.055 4.055
F 4.055 4.055 2.026
F 4.055 2.026 4.055
F 6.084 4.055 4.055
F 2.026 4.055 4.055
F 4.055 6.084 4.055
F 4.055 4.055 6.084
```

=====

What is the formula in the second record? IrF

=====

Which formula does entry 1 have? IrF6